Entry 1:
This entry pairs a crystal structure of Ca2P4Pb with its computed XRD peak list. Radiation: Cu Ka. Structure: a DFT-relaxed cell (GGA-PBE, Alexandria).
Intensities are scaled so that the largest is 100.

Crystal structure
```
Ca2P4Pb
1.0
8.5296 0.0000 0.0000
0.0000 10.9296 0.0000
0.0000 0.0000 3.4564
Ca P Pb
4 8 2
Cartesian
1.2788 1.6257 0.0000 Ca
2.9861 7.0905 0.0000 Ca
5.5436 3.8391 0.0000 Ca
7.2509 9.3038 0.0000 Ca
0.9007 8.4068 1.7282 P
1.7639 9.6767 0.0000 P
2.5009 4.2119 0.0000 P
3.3641 2.9421 1.7282 P
5.1655 7.9875 1.7282 P
6.0287 6.7177 0.0000 P
6.7657 1.2529 0.0000 P
7.6290 2.5227 1.7282 P
0.0000 5.4648 1.7282 Pb
4.2648 0.0000 1.7282 Pb
```

The 10 most intense peaks (10 to 80 degrees two-theta), by angle:
- d 6.724, rel. 97
- d 3.354, rel. 100
- d 3.074, rel. 82
- d 2.752, rel. 44
- d 2.685, rel. 44
- d 2.408, rel. 46
- d 2.301, rel. 27
- d 2.144, rel. 38
- d 1.881, rel. 30
- d 1.536, rel. 24

Entry 2:
This entry pairs a crystal structure of PuTh6N8 with its computed XRD peak list. Radiation: Cu Ka. Structure: a DFT-relaxed cell (GGA-PBE, Alexandria).
Intensities are scaled so that the largest is 100.

Crystal structure
```
PuTh6N8
1.0
0.0000 5.1208 5.1208
5.1208 0.0000 5.1208
5.1208 5.1208 0.0000
Pu Th N
1 6 8
Cartesian
0.0000 0.0000 0.0000 Pu
2.5604 2.5604 0.0000 Th
2.5604 0.0000 2.5604 Th
5.1208 2.5604 2.5604 Th
0.0000 2.5604 2.5604 Th
2.5604 5.1208 2.5604 Th
2.5604 2.5604 5.1208 Th
5.1208 5.1208 2.3235 N
5.1208 2.3235 5.1208 N
7.9181 5.1208 5.1208 N
2.5604 2.5604 2.5604 N
7.6812 7.6812 7.6812 N
2.3235 5.1208 5.1208 N
5.1208 7.9181 5.1208 N
5.1208 5.1208 7.9181 N
```

The 10 most intense peaks (10 to 80 degrees two-theta), by angle:
- d 5.913, rel. 15
- d 5.121, rel. 6
- d 3.621, rel. 5
- d 3.088, rel. 8
- d 2.957, rel. 100
- d 2.560, rel. 67
- d 1.810, rel. 48
- d 1.544, rel. 48
- d 1.478, rel. 17
- d 1.280, rel. 8

Entry 3:
This entry pairs a crystal structure of Ca3PrRh2 with its computed XRD peak list. Radiation: Cu Ka. Structure: a DFT-relaxed cell (GGA-PBE, Alexandria).
Intensities are scaled so that the largest is 100.

Crystal structure
```
Ca3PrRh2
1.0
4.5031 0.0000 0.0000
0.0000 9.1322 0.0000
0.0000 0.0000 7.5563
Ca Pr Rh
6 2 4
Cartesian
0.0000 0.7838 0.0000 Ca
0.0000 2.8170 2.8846 Ca
0.0000 6.3152 6.6627 Ca
0.0000 8.3484 3.7781 Ca
2.2516 1.6091 5.0907 Ca
2.2516 7.5232 1.3126 Ca
2.2516 3.8393 0.3920 Pr
2.2516 5.2930 4.1702 Pr
0.0000 3.4830 5.8478 Rh
0.0000 5.6492 2.0697 Rh
2.2516 1.3105 1.9312 Rh
2.2516 7.8218 5.7094 Rh
```

The 10 most intense peaks (10 to 80 degrees two-theta), by angle:
- d 3.908, rel. 30
- d 3.562, rel. 32
- d 2.952, rel. 44
- d 2.894, rel. 23
- d 2.824, rel. 24
- d 2.759, rel. 100
- d 2.522, rel. 26
- d 2.392, rel. 30
- d 2.252, rel. 35
- d 2.205, rel. 29